Entry 1:
This entry pairs a crystal structure of La2ZrGe4Ir3 with its calculated XRD peak list. Radiation: CuKα. Structure: the GGA-PBE geometry in Alexandria.
Peak positions follow from Bragg's law for the DFT cell and can differ from measured ones.

Main lines, by angle (2θ from 10° to 90°):
- hkl 1 1 1, 2θ = 30.58°, intensity 296
- hkl 1 0 3, 2θ = 32.18°, intensity 788
- hkl 1 1 2, 2θ = 33.78°, intensity 1000
- hkl 2 0 0, 2θ = 42.13°, intensity 788
- hkl 1 1 4, 2θ = 44.56°, intensity 391
- hkl 1 0 5, 2θ = 46.53°, intensity 292
- hkl 2 1 3, 2θ = 53.99°, intensity 368
- hkl 2 2 0, 2θ = 61.10°, intensity 262
- hkl 2 1 5, 2θ = 64.56°, intensity 219
- hkl 3 1 2, 2θ = 71.67°, intensity 221

abc: 4.290 4.290 10.959
angles: 90.00 90.00 90.00
Sites, in units of the cell vectors:
La: 0.000 0.500 0.235
La: 0.500 0.000 0.765
Zr: 0.000 0.000 0.500
Ge: 0.000 0.000 0.000
Ge: 0.000 0.500 0.653
Ge: 0.500 0.000 0.347
Ge: 0.500 0.500 0.000
Ir: 0.000 0.500 0.881
Ir: 0.500 0.000 0.119
Ir: 0.500 0.500 0.500

Entry 2:
This entry pairs a crystal structure of CsTlAg with its calculated XRD peak list. Radiation: CuKα. Structure: the GGA-PBE geometry in Alexandria.
Peak positions follow from Bragg's law for the DFT cell and can differ from measured ones.

Main lines, by angle (2θ from 10° to 90°):
- hkl 0 0 1, 2θ = 10.07°, intensity 1000
- hkl 1 1 0, 2θ = 24.29°, intensity 407
- hkl 1 0 2, 2θ = 27.05°, intensity 438
- hkl 0 1 2, 2θ = 27.33°, intensity 739
- hkl 1 1 -2, 2θ = 30.79°, intensity 341
- hkl 0 2 0, 2θ = 36.86°, intensity 310
- hkl 2 1 0, 2θ = 37.26°, intensity 197
- hkl 2 1 -2, 2θ = 41.17°, intensity 241
- hkl 1 2 2, 2θ = 46.31°, intensity 203
- hkl 1 1 4, 2θ = 49.74°, intensity 270

abc: 5.579 4.877 8.821
angles: 90.00 95.44 90.00
Sites, in units of the cell vectors:
Cs: 0.232 0.250 0.338
Cs: 0.768 0.750 0.662
Tl: 0.334 0.250 0.862
Tl: 0.666 0.750 0.138
Ag: 0.151 0.750 0.009
Ag: 0.849 0.250 0.991

Entry 3:
This entry pairs a crystal structure of Th6IrAu3 with its calculated XRD peak list. Radiation: CuKα. Structure: the GGA-PBE geometry in Alexandria.
Peak positions follow from Bragg's law for the DFT cell and can differ from measured ones.

Main lines, by angle (2θ from 10° to 90°):
- hkl 0 0 4, 2θ = 29.87°, intensity 277
- hkl 2 1 1, 2θ = 30.18°, intensity 273
- hkl 4 0 -2, 2θ = 30.45°, intensity 419
- hkl 2 1 -3, 2θ = 31.96°, intensity 410
- hkl 3 1 -1, 2θ = 32.06°, intensity 1000
- hkl 3 1 0, 2θ = 33.19°, intensity 328
- hkl 2 1 2, 2θ = 34.21°, intensity 381
- hkl 0 1 4, 2θ = 37.69°, intensity 485
- hkl 3 0 3, 2θ = 38.62°, intensity 303
- hkl 0 2 0, 2θ = 45.84°, intensity 522

abc: 11.827 3.958 12.778
angles: 90.00 110.56 90.00
Sites, in units of the cell vectors:
Th: 0.008 0.250 0.123
Th: 0.111 0.250 0.664
Th: 0.281 0.750 0.544
Th: 0.312 0.750 0.113
Th: 0.399 0.750 0.852
Th: 0.407 0.250 0.369
Th: 0.593 0.750 0.631
Th: 0.601 0.250 0.148
Th: 0.688 0.250 0.887
Th: 0.719 0.250 0.456
Th: 0.889 0.750 0.336
Th: 0.992 0.750 0.877
Ir: 0.431 0.250 0.697
Ir: 0.569 0.750 0.303
Au: 0.092 0.250 0.400
Au: 0.184 0.750 0.279
Au: 0.213 0.250 0.922
Au: 0.787 0.750 0.078
Au: 0.816 0.250 0.721
Au: 0.908 0.750 0.600

Entry 4:
This entry pairs a crystal structure of RbTl2WBr8 with its calculated XRD peak list. Radiation: CuKα. Structure: the GGA-PBE geometry in Alexandria.
Peak positions follow from Bragg's law for the DFT cell and can differ from measured ones.

Main lines, by angle (2θ from 10° to 90°):
- hkl 1 0 0, 2θ = 14.56°, intensity 750
- hkl 0 1 1, 2θ = 15.01°, intensity 255
- hkl -1 1 1, 2θ = 17.60°, intensity 161
- hkl 0 1 2, 2θ = 21.88°, intensity 533
- hkl 1 -2 0, 2θ = 22.96°, intensity 399
- hkl 1 1 2, 2θ = 28.79°, intensity 1000
- hkl 2 -2 0, 2θ = 30.31°, intensity 421
- hkl 2 -1 2, 2θ = 33.03°, intensity 249
- hkl 1 -3 2, 2θ = 38.54°, intensity 381
- hkl 0 3 2, 2θ = 40.89°, intensity 163

abc: 6.549 8.004 9.697
angles: 90.02 90.03 111.70
Sites, in units of the cell vectors:
Rb: 0.000 0.000 0.000
Tl: 0.002 0.500 0.235
Tl: 0.998 0.500 0.765
W: 0.000 0.000 0.500
Br: 0.232 0.815 0.501
Br: 0.242 0.204 0.684
Br: 0.243 0.203 0.316
Br: 0.290 0.715 0.999
Br: 0.710 0.285 0.001
Br: 0.757 0.797 0.684
Br: 0.758 0.796 0.316
Br: 0.768 0.185 0.499

Entry 5:
This entry pairs a crystal structure of VMo4W2 with its calculated XRD peak list. Radiation: CuKα. Structure: the GGA-PBE geometry in Alexandria.
Peak positions follow from Bragg's law for the DFT cell and can differ from measured ones.

Main lines, by angle (2θ from 10° to 90°):
- hkl 0 0 1, 2θ = 14.82°, intensity 563
- hkl 1 1 -1, 2θ = 37.68°, intensity 197
- hkl 0 2 1, 2θ = 39.88°, intensity 702
- hkl 0 1 -3, 2θ = 39.97°, intensity 736
- hkl 0 3 -2, 2θ = 40.07°, intensity 687
- hkl 1 -2 0, 2θ = 40.57°, intensity 679
- hkl 1 0 1, 2θ = 40.70°, intensity 1000
- hkl 1 -3 3, 2θ = 58.38°, intensity 197
- hkl 0 4 -5, 2θ = 72.78°, intensity 221
- hkl 1 -1 4, 2θ = 73.06°, intensity 354

abc: 2.697 6.942 6.944
angles: 118.04 97.46 97.68
Sites, in units of the cell vectors:
V: 0.000 0.000 0.000
Mo: 0.237 0.856 0.283
Mo: 0.377 0.429 0.145
Mo: 0.623 0.571 0.855
Mo: 0.763 0.144 0.717
W: 0.052 0.284 0.430
W: 0.948 0.716 0.570

Entry 6:
This entry pairs a crystal structure of Ga9Rh2 with its calculated XRD peak list. Radiation: CuKα. Structure: the GGA-PBE geometry in Alexandria.
Peak positions follow from Bragg's law for the DFT cell and can differ from measured ones.

Main lines, by angle (2θ from 10° to 90°):
- hkl 2 1 1, 2θ = 33.10°, intensity 384
- hkl 1 2 -2, 2θ = 36.65°, intensity 636
- hkl 1 2 2, 2θ = 37.59°, intensity 657
- hkl 2 1 2, 2θ = 38.07°, intensity 745
- hkl 2 1 -3, 2θ = 42.61°, intensity 607
- hkl 0 1 4, 2θ = 43.22°, intensity 635
- hkl 3 1 0, 2θ = 44.28°, intensity 1000
- hkl 1 2 3, 2θ = 44.43°, intensity 517
- hkl 3 1 -1, 2θ = 44.94°, intensity 492
- hkl 1 3 -1, 2θ = 45.28°, intensity 666

abc: 6.475 6.474 8.863
angles: 90.00 93.39 90.00
Sites, in units of the cell vectors:
Ga: 0.000 0.054 0.000
Ga: 0.000 0.946 0.500
Ga: 0.004 0.261 0.719
Ga: 0.004 0.739 0.219
Ga: 0.190 0.336 0.452
Ga: 0.190 0.664 0.952
Ga: 0.320 0.053 0.250
Ga: 0.320 0.947 0.750
Ga: 0.358 0.267 0.943
Ga: 0.358 0.733 0.443
Ga: 0.516 0.476 0.703
Ga: 0.516 0.524 0.203
Ga: 0.595 0.132 0.531
Ga: 0.595 0.868 0.031
Ga: 0.790 0.446 0.986
Ga: 0.790 0.554 0.486
Ga: 0.810 0.239 0.266
Ga: 0.810 0.761 0.766
Rh: 0.147 0.380 0.157
Rh: 0.147 0.620 0.657
Rh: 0.666 0.124 0.819
Rh: 0.666 0.876 0.319